Starting from the GGA-PBE geometry in Alexandria, the powder XRD pattern of PmZn2P2Pt7 was calculated for Cu Kα X-rays.
Lines closer than 0.1° are merged.

Main lines, in order of falling intensity (2θ = 10–90°):
2θ 37.55, I 100
2θ 36.66, I 100
2θ 34.59, I 83
2θ 35.23, I 83
2θ 45.95, I 80
2θ 32.07, I 77
2θ 46.18, I 46
2θ 19.08, I 40
2θ 67.00, I 40
2θ 45.50, I 36
2θ 51.10, I 33
2θ 32.69, I 30

Cell and atoms:
Cell lengths 3.953, 3.953, 14.108 Å; angles 95.96, 95.96, 89.95 degrees
Element x y z (fractional)
Pm 0.000 0.000 0.000
Zn 0.100 0.100 0.417
Zn 0.900 0.900 0.583
P 0.405 0.405 0.741
P 0.595 0.595 0.259
Pt 0.060 0.561 0.165
Pt 0.389 0.389 0.580
Pt 0.439 0.940 0.835
Pt 0.500 0.500 0.000
Pt 0.561 0.060 0.165
Pt 0.611 0.611 0.420
Pt 0.940 0.439 0.835